Simulated powder X-ray diffraction pattern
Compound: Rb5Cd4Au
Radiation: Cu Kα (λ = 1.5418 Å)
Structure: a crystal structure in Alexandria, relaxed with PBE

Principal peaks in the range 2θ from 5° to 70°, in order of rising 2θ:
8.33 deg, I = 76
10.28 deg, I = 100
25.12 deg, I = 43
26.66 deg, I = 42
34.26 deg, I = 34
36.63 deg, I = 24

Crystal structure
```
Rb5Cd4Au
1.0
11.4793 -2.4535 0.0000
11.4793 2.4535 0.0000
-3.5340 0.0000 8.6052
Rb Cd Au
5 4 1
direct
0.0000 0.0000 0.0000
0.3021 0.3021 0.7100
0.3615 0.3615 0.2238
0.6385 0.6385 0.7762
0.6979 0.6979 0.2900
0.1161 0.1161 0.4444
0.4658 0.4658 0.6295
0.5342 0.5342 0.3705
0.8839 0.8839 0.5556
0.0000 0.0000 0.5000
```

***

Simulated powder X-ray diffraction pattern
Compound: Rb2Cd4Au5
Radiation: Cu Kα (λ = 1.5418 Å)
Structure: a crystal structure in Alexandria, relaxed with PBE

Principal peaks in the range 2θ from 5° to 70°, in order of rising 2θ:
16.23 deg, I = 76
32.16 deg, I = 75
32.36 deg, I = 71
34.91 deg, I = 96
38.72 deg, I = 100
39.25 deg, I = 58

Crystal structure
```
Rb2Cd4Au5
1.0
0.0000 5.4627 8.4673
3.2342 0.0000 8.4673
3.2342 5.4627 0.0000
Rb Cd Au
2 4 5
direct
0.1308 0.1308 0.8692
0.8692 0.8692 0.1308
0.2121 0.5318 0.4682
0.4682 0.7879 0.2121
0.5318 0.2121 0.7879
0.7879 0.4682 0.5318
0.0000 0.0000 0.5000
0.2500 0.2500 0.2500
0.5000 0.5000 0.0000
0.5000 0.5000 0.5000
0.7500 0.7500 0.7500
```

***

Simulated powder X-ray diffraction pattern
Compound: RbCd4Au4
Radiation: Cu Kα (λ = 1.5418 Å)
Structure: a crystal structure in Alexandria, relaxed with PBE

Principal peaks in the range 2θ from 5° to 70°, in order of rising 2θ:
29.90 deg, I = 100
31.78 deg, I = 54
35.95 deg, I = 82
38.87 deg, I = 49
40.99 deg, I = 52
48.73 deg, I = 61

Crystal structure
```
RbCd4Au4
1.0
7.0652 0.0000 0.0000
0.0000 7.0652 0.0000
0.0000 0.0000 9.2093
Rb Cd Au
2 8 8
direct
0.2500 0.7500 0.2500
0.7500 0.2500 0.7500
0.0031 0.7500 0.6304
0.2500 0.5031 0.8696
0.2500 0.9969 0.8696
0.4969 0.7500 0.6304
0.5031 0.2500 0.3696
0.7500 0.0031 0.1304
0.7500 0.4969 0.1304
0.9969 0.2500 0.3696
0.0555 0.2500 0.0645
0.2500 0.0555 0.5645
0.2500 0.4445 0.5645
0.4445 0.2500 0.0645
0.5555 0.7500 0.9355
0.7500 0.5555 0.4355
0.7500 0.9445 0.4355
0.9445 0.7500 0.9355
```

***

Simulated powder X-ray diffraction pattern
Compound: Rb2Cd4Au
Radiation: Cu Kα (λ = 1.5418 Å)
Structure: a crystal structure in Alexandria, relaxed with PBE

Principal peaks in the range 2θ from 5° to 70°, in order of rising 2θ:
9.27 deg, I = 100
17.07 deg, I = 68
23.30 deg, I = 40
28.06 deg, I = 51
33.19 deg, I = 82
44.00 deg, I = 60

Crystal structure
```
Rb2Cd4Au
1.0
5.3986 0.0000 0.0000
0.0000 5.3986 0.0000
0.0000 0.0000 19.0825
Rb Cd Au
4 8 2
direct
0.0000 0.0000 0.1557
0.0000 0.0000 0.8443
0.5000 0.5000 0.3443
0.5000 0.5000 0.6557
0.0000 0.0000 0.3543
0.0000 0.0000 0.6457
0.0000 0.5000 0.0000
0.0000 0.5000 0.5000
0.5000 0.0000 0.0000
0.5000 0.0000 0.5000
0.5000 0.5000 0.1457
0.5000 0.5000 0.8543
0.0000 0.0000 0.5000
0.5000 0.5000 0.0000
```